ErTmCo2Si2C: theoretical powder X-ray diffraction pattern (λ = 1.5418 Å (Cu Kα)), based on a crystal structure in OQMD, relaxed with PBE.

Structure:
```
ErTmCo2Si2C
1.0
5.258 -1.922 0.000
5.258 1.922 0.000
-4.285 0.000 5.199
Er Tm Co Si C
1 1 2 2 1
Direct
0.000 0.000 0.000 Er
0.873 0.873 0.407 Tm
0.237 0.237 0.614 Co
0.636 0.636 0.792 Co
0.281 0.281 0.002 Si
0.592 0.592 0.405 Si
0.436 0.436 0.703 C
```

Main lines, sorted by position (10 to 90 degrees two-theta):
25.64°, 3.474 Å, I 60
26.46°, 3.369 Å, I 33
34.73°, 2.583 Å, I 46
34.85°, 2.574 Å, I 76
35.69°, 2.516 Å, I 32
35.85°, 2.505 Å, I 32
37.13°, 2.421 Å, I 100
40.79°, 2.212 Å, I 26
41.80°, 2.161 Å, I 25
47.30°, 1.922 Å, I 32

Lu2FeCoGe2C: theoretical powder X-ray diffraction pattern (λ = 1.5418 Å (Cu Kα)), based on a crystal structure in OQMD, relaxed with PBE.

Structure:
```
Lu2FeCoGe2C
1.0
5.270 -1.929 0.000
5.270 1.929 0.000
-4.088 0.000 5.314
Lu Fe Co Ge C
2 1 1 2 1
Direct
0.000 0.000 0.000 Lu
0.116 0.116 0.573 Lu
0.752 0.752 0.370 Fe
0.362 0.362 0.201 Co
0.399 0.399 0.591 Ge
0.716 0.716 0.983 Ge
0.560 0.560 0.289 C
```

Main lines, sorted by position (10 to 90 degrees two-theta):
25.43°, 3.502 Å, I 38
33.73°, 2.657 Å, I 34
34.07°, 2.632 Å, I 39
34.64°, 2.589 Å, I 59
35.32°, 2.541 Å, I 44
36.86°, 2.438 Å, I 100
37.40°, 2.404 Å, I 40
39.93°, 2.258 Å, I 54
42.23°, 2.140 Å, I 35
47.11°, 1.929 Å, I 41

Pr2FeCoGe2C: theoretical powder X-ray diffraction pattern (λ = 1.5418 Å (Cu Kα)), based on a crystal structure in OQMD, relaxed with PBE.

Structure:
```
Pr2FeCoGe2C
1.0
5.491 -2.027 0.000
5.491 2.027 0.000
-4.398 0.000 5.581
Pr Fe Co Ge C
2 1 1 2 1
Direct
0.000 0.000 0.000 Pr
0.117 0.117 0.592 Pr
0.746 0.746 0.371 Fe
0.369 0.369 0.218 Co
0.383 0.383 0.568 Ge
0.733 0.733 0.023 Ge
0.561 0.561 0.299 C
```

Main lines, sorted by position (10 to 90 degrees two-theta):
32.07°, 2.791 Å, I 40
32.55°, 2.751 Å, I 74
33.15°, 2.703 Å, I 78
34.06°, 2.633 Å, I 50
34.90°, 2.571 Å, I 100
35.45°, 2.532 Å, I 57
38.38°, 2.345 Å, I 77
39.85°, 2.262 Å, I 43
44.71°, 2.027 Å, I 55
57.34°, 1.607 Å, I 48